Diffraction record for DyZnNi. The PXRD pattern is computed, not measured: it uses a structure optimized by DFT (GGA-PBE) and Cu Kα.
Lines closer than 0.1° are merged.

Main lines, by angle (2θ from 10° to 80°):
25.37 deg, I 165, hkl 1 1 0; 29.38 deg, I 181, hkl 2 0 0; 35.10 deg, I 1000, hkl 1 1 1; 38.18 deg, I 848, hkl 2 0 1; 39.20 deg, I 466, hkl 2 1 0; 44.71 deg, I 197, hkl 3 0 0; 48.81 deg, I 214, hkl 0 0 2; 54.40 deg, I 183, hkl 3 1 0; 60.22 deg, I 304, hkl 3 1 1; 64.31 deg, I 211, hkl 2 1 2; 72.31 deg, I 207, hkl 3 2 1; 76.10 deg, I 195, hkl 3 1 2

Structure:
```
data_DyZnNi
_chemical_formula_sum 'Dy3 Zn3 Ni3'
_cell_length_a 7.0211
_cell_length_b 7.0211
_cell_length_c 3.7314
_cell_angle_alpha 90.00
_cell_angle_beta 90.00
_cell_angle_gamma 120.00
_symmetry_space_group_name_H-M 'P -6 2 m'
_symmetry_Int_Tables_number 189
_symmetry_space_group_name_Hall 'P -6 -2'
loop_
_atom_site_label
_atom_site_fract_x
_atom_site_fract_y
_atom_site_fract_z
_atom_site_occupancy
Dy1 0.0000 0.5876 0.0000 1
Zn1 0.0000 0.2428 0.5000 1
Ni1 0.0000 0.0000 0.0000 1
Ni2 0.3333 0.6667 0.5000 1
```